[1]
Diffraction record for KCrPb2Br8. The X-ray powder pattern is computed, not measured: it uses a crystal structure in Alexandria, relaxed with PBE and Cu Kα.
Neutral-atom scattering factors, no anomalous dispersion.

Structural model:
```
data_KCrPb2Br8
_chemical_formula_sum 'K1 Cr1 Pb2 Br8'
_cell_length_a 6.6742
_cell_length_b 6.9704
_cell_length_c 8.9925
_cell_angle_alpha 90.02
_cell_angle_beta 90.13
_cell_angle_gamma 91.58
_space_group_name_H-M_alt 'P -1'
_space_group_IT_number 2
_space_group_name_Hall '-P 1'
loop_
_atom_site_label
_atom_site_fract_x
_atom_site_fract_y
_atom_site_fract_z
K1 0.0000 0.0000 0.0000
Cr1 0.0000 0.0000 0.5000
Pb1 0.5004 0.5002 0.2608
Br1 0.2086 0.6953 0.4994
Br2 0.2271 0.1412 0.2999
Br3 0.2282 0.1399 0.7009
Br4 0.2678 0.6294 0.9998
```

Largest 8 diffraction maxima, sorted by position, 2θ = 10–90°:
hkl 1 -1 0, 4.887 Å, 2θ 18.15, intensity 52
hkl 1 1 0, 4.754 Å, 2θ 18.67, intensity 55
hkl 1 0 2, 3.729 Å, 2θ 23.87, intensity 49
hkl 1 -1 2, 3.309 Å, 2θ 26.95, intensity 100
hkl 1 2 0, 3.054 Å, 2θ 29.25, intensity 55
hkl -2 1 2, 2.524 Å, 2θ 35.57, intensity 35
hkl 2 1 2, 2.482 Å, 2θ 36.19, intensity 61
hkl 0 3 -2, 2.064 Å, 2θ 43.87, intensity 41

[2]
Diffraction record for LaCr2Br. The X-ray powder pattern is computed, not measured: it uses a crystal structure in Alexandria, relaxed with PBE and Cu Kα.
Neutral-atom scattering factors, no anomalous dispersion.

Structural model:
```
data_LaCr2Br
_chemical_formula_sum 'La3 Cr6 Br3'
_cell_length_a 4.0157
_cell_length_b 4.0157
_cell_length_c 22.3889
_cell_angle_alpha 90.00
_cell_angle_beta 90.00
_cell_angle_gamma 120.00
_space_group_name_H-M_alt 'R 3 m'
_space_group_IT_number 160
_space_group_name_Hall 'R 3 -2"'
loop_
_atom_site_label
_atom_site_fract_x
_atom_site_fract_y
_atom_site_fract_z
La1 0.0000 0.0000 0.0000
Cr1 0.0000 0.0000 0.2473
Cr2 0.0000 0.0000 0.5471
Br1 0.0000 0.0000 0.7626
```

Largest 8 diffraction maxima, sorted by position, 2θ = 10–90°:
hkl 0 0 3, 7.463 Å, 2θ 11.86, intensity 22
hkl 1 0 1, 3.436 Å, 2θ 25.93, intensity 17
hkl 1 0 4, 2.954 Å, 2θ 30.26, intensity 100
hkl 0 1 5, 2.747 Å, 2θ 32.60, intensity 31
hkl 0 1 8, 2.180 Å, 2θ 41.41, intensity 25
hkl 1 1 0, 2.008 Å, 2θ 45.16, intensity 39
hkl 0 2 4, 1.661 Å, 2θ 55.32, intensity 17
hkl 1 1 9, 1.562 Å, 2θ 59.13, intensity 20

[3]
Diffraction record for Li2CrBr5. The X-ray powder pattern is computed, not measured: it uses a crystal structure in Alexandria, relaxed with PBE and Cu Kα.
Neutral-atom scattering factors, no anomalous dispersion.

Structural model:
```
data_Li2CrBr5
_chemical_formula_sum 'Li8 Cr4 Br20'
_cell_length_a 5.1483
_cell_length_b 15.0044
_cell_length_c 12.3131
_cell_angle_alpha 90.00
_cell_angle_beta 90.00
_cell_angle_gamma 90.00
_space_group_name_H-M_alt 'C m c m'
_space_group_IT_number 63
_space_group_name_Hall '-C 2c 2'
loop_
_atom_site_label
_atom_site_fract_x
_atom_site_fract_y
_atom_site_fract_z
Li1 0.0000 0.1852 0.0472
Cr1 0.0000 0.1920 0.7500
Br1 0.0000 0.0767 0.6108
Br2 0.0000 0.2775 0.2500
Br3 0.0000 0.3147 0.5999
```

Largest 8 diffraction maxima, sorted by position, 2θ = 10–90°:
hkl 0 2 0, 7.502 Å, 2θ 11.80, intensity 74
hkl 1 1 1, 4.528 Å, 2θ 19.60, intensity 48
hkl 1 3 0, 3.589 Å, 2θ 24.81, intensity 46
hkl 1 1 3, 3.138 Å, 2θ 28.44, intensity 93
hkl 0 4 3, 2.769 Å, 2θ 32.33, intensity 100
hkl 1 5 0, 2.593 Å, 2θ 34.60, intensity 37
hkl 2 0 0, 2.574 Å, 2θ 34.85, intensity 56
hkl 2 4 3, 1.885 Å, 2θ 48.27, intensity 64

[4]
Diffraction record for Li3Tl3CrBr8. The X-ray powder pattern is computed, not measured: it uses a crystal structure in Alexandria, relaxed with PBE and Cu Kα.
Neutral-atom scattering factors, no anomalous dispersion.

Structural model:
```
data_Li3Tl3CrBr8
_chemical_formula_sum 'Li6 Tl6 Cr2 Br16'
_cell_length_a 14.0872
_cell_length_b 8.1241
_cell_length_c 9.0372
_cell_angle_alpha 90.00
_cell_angle_beta 121.29
_cell_angle_gamma 90.00
_space_group_name_H-M_alt 'C 1 2/m 1'
_space_group_IT_number 12
_space_group_name_Hall '-C 2y'
loop_
_atom_site_label
_atom_site_fract_x
_atom_site_fract_y
_atom_site_fract_z
Li1 0.0000 0.0000 0.0000
Li2 0.2500 0.2500 0.0000
Tl1 0.0000 0.5000 0.5000
Tl2 0.2500 0.2500 0.5000
Cr1 0.0000 0.5000 0.0000
Br1 0.0169 0.2589 0.8100
Br2 0.2241 0.5000 0.1899
Br3 0.2317 0.0000 0.1945
```

Largest 8 diffraction maxima, sorted by position, 2θ = 10–90°:
hkl 1 1 0, 6.736 Å, 2θ 13.14, intensity 33
hkl 2 2 -1, 3.480 Å, 2θ 25.60, intensity 34
hkl 4 0 0, 3.008 Å, 2θ 29.70, intensity 100
hkl 4 0 -3, 2.803 Å, 2θ 31.93, intensity 46
hkl 2 2 2, 2.236 Å, 2θ 40.33, intensity 30
hkl 0 4 0, 2.032 Å, 2θ 44.59, intensity 36
hkl 4 4 0, 1.684 Å, 2θ 54.49, intensity 18
hkl 6 2 -5, 1.595 Å, 2θ 57.81, intensity 24

Repeat the fourth record exactly.
Diffraction record for Li3Tl3CrBr8. The X-ray powder pattern is computed, not measured: it uses a crystal structure in Alexandria, relaxed with PBE and Cu Kα.
Neutral-atom scattering factors, no anomalous dispersion.

Structural model:
```
data_Li3Tl3CrBr8
_chemical_formula_sum 'Li6 Tl6 Cr2 Br16'
_cell_length_a 14.0872
_cell_length_b 8.1241
_cell_length_c 9.0372
_cell_angle_alpha 90.00
_cell_angle_beta 121.29
_cell_angle_gamma 90.00
_space_group_name_H-M_alt 'C 1 2/m 1'
_space_group_IT_number 12
_space_group_name_Hall '-C 2y'
loop_
_atom_site_label
_atom_site_fract_x
_atom_site_fract_y
_atom_site_fract_z
Li1 0.0000 0.0000 0.0000
Li2 0.2500 0.2500 0.0000
Tl1 0.0000 0.5000 0.5000
Tl2 0.2500 0.2500 0.5000
Cr1 0.0000 0.5000 0.0000
Br1 0.0169 0.2589 0.8100
Br2 0.2241 0.5000 0.1899
Br3 0.2317 0.0000 0.1945
```

Largest 8 diffraction maxima, sorted by position, 2θ = 10–90°:
hkl 1 1 0, 6.736 Å, 2θ 13.14, intensity 33
hkl 2 2 -1, 3.480 Å, 2θ 25.60, intensity 34
hkl 4 0 0, 3.008 Å, 2θ 29.70, intensity 100
hkl 4 0 -3, 2.803 Å, 2θ 31.93, intensity 46
hkl 2 2 2, 2.236 Å, 2θ 40.33, intensity 30
hkl 0 4 0, 2.032 Å, 2θ 44.59, intensity 36
hkl 4 4 0, 1.684 Å, 2θ 54.49, intensity 18
hkl 6 2 -5, 1.595 Å, 2θ 57.81, intensity 24